No. 1
Starting from a crystal structure in Alexandria, relaxed with PBE, the powder X-ray diffraction pattern of La4Tb2Pr5 was calculated for Cu Ka.
Neutral-atom scattering factors, no anomalous dispersion.

Principal peaks in the range 10 to 90 degrees two-theta, by intensity:
2θ = 29.98°, intensity 100; 2θ = 30.96°, intensity 59; 2θ = 30.75°, intensity 58; 2θ = 31.93°, intensity 41; 2θ = 29.03°, intensity 32; 2θ = 29.41°, intensity 26; 2θ = 60.27°, intensity 24; 2θ = 59.70°, intensity 19; 2θ = 32.98°, intensity 19; 2θ = 46.01°, intensity 18; 2θ = 36.23°, intensity 18; 2θ = 60.16°, intensity 17

Atomic structure:
a = 9.2619 Å, b = 9.2619 Å, c = 12.0054 Å
α = 94.20°, β = 94.20°, γ = 22.57°
Fractional positions:
La: 0.0401 0.0401 0.2636
La: 0.3583 0.3583 0.2040
La: 0.6417 0.6417 0.7960
La: 0.9599 0.9599 0.7364
Tb: 0.2832 0.2832 0.6369
Tb: 0.7168 0.7168 0.3631
Pr: 0.0962 0.0962 0.5396
Pr: 0.1788 0.1788 0.0744
Pr: 0.5000 0.5000 0.0000
Pr: 0.8212 0.8212 0.9256
Pr: 0.9038 0.9038 0.4604

***

No. 2
Starting from a crystal structure in Alexandria, relaxed with PBE, the powder X-ray diffraction pattern of Tm3Al2Cu6 was calculated for Cu Ka.
Neutral-atom scattering factors, no anomalous dispersion.

Principal peaks in the range 10 to 90 degrees two-theta, by intensity:
2θ = 42.31°, intensity 100; 2θ = 37.11°, intensity 40; 2θ = 31.21°, intensity 35; 2θ = 34.27°, intensity 35; 2θ = 39.78°, intensity 25; 2θ = 68.69°, intensity 23; 2θ = 63.25°, intensity 23; 2θ = 27.84°, intensity 19; 2θ = 77.37°, intensity 18; 2θ = 24.05°, intensity 17; 2θ = 55.53°, intensity 14; 2θ = 59.47°, intensity 12

Atomic structure:
a = 7.8493 Å, b = 7.8493 Å, c = 7.8493 Å
α = 109.47°, β = 109.47°, γ = 109.47°
Fractional positions:
Tm: 0.0000 0.2775 0.2775
Tm: 0.0000 0.7225 0.7225
Tm: 0.2775 0.0000 0.2775
Tm: 0.2775 0.2775 0.0000
Tm: 0.7225 0.0000 0.7225
Tm: 0.7225 0.7225 0.0000
Al: 0.0000 0.0000 0.5000
Al: 0.0000 0.5000 0.0000
Al: 0.5000 0.0000 0.0000
Al: 0.5000 0.5000 0.5000
Cu: 0.0000 0.3347 0.6653
Cu: 0.0000 0.6653 0.3347
Cu: 0.3305 0.6653 0.6653
Cu: 0.3347 0.0000 0.6653
Cu: 0.3347 0.3347 0.6695
Cu: 0.3347 0.6653 0.0000
Cu: 0.3347 0.6695 0.3347
Cu: 0.6653 0.0000 0.3347
Cu: 0.6653 0.3305 0.6653
Cu: 0.6653 0.3347 0.0000
Cu: 0.6653 0.6653 0.3305
Cu: 0.6695 0.3347 0.3347

***

No. 3
Starting from a crystal structure in Alexandria, relaxed with PBE, the powder X-ray diffraction pattern of NaP2OsRh was calculated for Cu Ka.
Neutral-atom scattering factors, no anomalous dispersion.

Principal peaks in the range 10 to 90 degrees two-theta, by intensity:
2θ = 17.53°, intensity 100; 2θ = 36.21°, intensity 87; 2θ = 48.13°, intensity 42; 2θ = 45.05°, intensity 34; 2θ = 48.70°, intensity 29; 2θ = 31.43°, intensity 27; 2θ = 77.30°, intensity 19; 2θ = 64.20°, intensity 18; 2θ = 23.79°, intensity 17; 2θ = 85.38°, intensity 17; 2θ = 35.49°, intensity 15; 2θ = 58.62°, intensity 15

Atomic structure:
a = 5.8048 Å, b = 5.8048 Å, c = 5.8048 Å
α = 139.43°, β = 139.43°, γ = 58.72°
Fractional positions:
Na: 0.0000 0.0000 0.0000
P: 0.3693 0.3693 0.0000
P: 0.6307 0.6307 0.0000
Os: 0.7500 0.2500 0.5000
Rh: 0.2500 0.7500 0.5000

***

No. 4
Starting from a crystal structure in Alexandria, relaxed with PBE, the powder X-ray diffraction pattern of NaTePd3 was calculated for Cu Ka.
Neutral-atom scattering factors, no anomalous dispersion.

Principal peaks in the range 10 to 90 degrees two-theta, by intensity:
2θ = 35.76°, intensity 100; 2θ = 44.75°, intensity 70; 2θ = 18.76°, intensity 62; 2θ = 40.98°, intensity 51; 2θ = 38.06°, intensity 43; 2θ = 19.49°, intensity 32; 2θ = 39.57°, intensity 32; 2θ = 45.82°, intensity 29; 2θ = 29.59°, intensity 24; 2θ = 22.67°, intensity 20; 2θ = 46.09°, intensity 18; 2θ = 70.79°, intensity 15

Atomic structure:
a = 6.6169 Å, b = 6.6169 Å, c = 6.6169 Å
α = 130.57°, β = 107.29°, γ = 93.00°
Fractional positions:
Na: 0.2499 0.9999 0.2500
Na: 0.7501 0.0001 0.7500
Te: 0.0000 0.5000 0.5000
Te: 0.5000 0.5000 0.0000
Pd: 0.1853 0.0000 0.6853
Pd: 0.1853 0.5000 0.1853
Pd: 0.4391 0.6891 0.7500
Pd: 0.5609 0.3109 0.2500
Pd: 0.8147 0.0000 0.3147
Pd: 0.8147 0.5000 0.8147

***

No. 5
Starting from a crystal structure in Alexandria, relaxed with PBE, the powder X-ray diffraction pattern of Tb2Al3Si was calculated for Cu Ka.
Neutral-atom scattering factors, no anomalous dispersion.

Principal peaks in the range 10 to 90 degrees two-theta, by intensity:
2θ = 33.18°, intensity 100; 2θ = 23.79°, intensity 56; 2θ = 41.84°, intensity 34; 2θ = 54.41°, intensity 24; 2θ = 70.92°, intensity 21; 2θ = 64.35°, intensity 19; 2θ = 52.93°, intensity 13; 2θ = 22.79°, intensity 13; 2θ = 48.17°, intensity 11; 2θ = 77.72°, intensity 9; 2θ = 46.54°, intensity 9; 2θ = 48.70°, intensity 8

Atomic structure:
a = 3.9026 Å, b = 4.3151 Å, c = 7.4845 Å
α = 90.00°, β = 90.00°, γ = 90.00°
Fractional positions:
Tb: 0.0000 0.0000 0.0000
Tb: 0.0000 0.5000 0.4804
Al: 0.5000 0.0000 0.6506
Al: 0.5000 0.5000 0.1592
Al: 0.5000 0.5000 0.8220
Si: 0.5000 0.0000 0.3231

***

No. 6
Starting from a crystal structure in Alexandria, relaxed with PBE, the powder X-ray diffraction pattern of RbW4Se8 was calculated for Cu Ka.
Neutral-atom scattering factors, no anomalous dispersion.

Principal peaks in the range 10 to 90 degrees two-theta, by intensity:
2θ = 11.18°, intensity 100; 2θ = 34.76°, intensity 34; 2θ = 14.67°, intensity 31; 2θ = 39.63°, intensity 24; 2θ = 31.51°, intensity 21; 2θ = 41.42°, intensity 20; 2θ = 36.78°, intensity 17; 2θ = 45.50°, intensity 14; 2θ = 16.53°, intensity 14; 2θ = 41.16°, intensity 13; 2θ = 16.90°, intensity 12; 2θ = 54.48°, intensity 12

Atomic structure:
a = 9.2625 Å, b = 9.2625 Å, c = 12.3437 Å
α = 119.13°, β = 119.13°, γ = 20.95°
Fractional positions:
Rb: 0.0000 0.0000 0.0000
W: 0.1976 0.1976 0.5214
W: 0.2989 0.2989 0.1062
W: 0.7011 0.7011 0.8938
W: 0.8024 0.8024 0.4786
Se: 0.0789 0.0789 0.7963
Se: 0.3106 0.3106 0.9104
Se: 0.3391 0.3391 0.3574
Se: 0.3566 0.3566 0.6555
Se: 0.6434 0.6434 0.3445
Se: 0.6609 0.6609 0.6426
Se: 0.6894 0.6894 0.0896
Se: 0.9211 0.9211 0.2037

***

No. 7
Starting from a crystal structure in Alexandria, relaxed with PBE, the powder X-ray diffraction pattern of GaSnBrCl4 was calculated for Cu Ka.
Neutral-atom scattering factors, no anomalous dispersion.

Principal peaks in the range 10 to 90 degrees two-theta, by intensity:
2θ = 19.21°, intensity 100; 2θ = 14.55°, intensity 75; 2θ = 12.51°, intensity 35; 2θ = 26.65°, intensity 28; 2θ = 31.79°, intensity 27; 2θ = 38.38°, intensity 26; 2θ = 32.67°, intensity 25; 2θ = 13.47°, intensity 24; 2θ = 48.49°, intensity 23; 2θ = 30.14°, intensity 23; 2θ = 39.00°, intensity 21; 2θ = 26.45°, intensity 20

Atomic structure:
a = 7.7158 Å, b = 7.7158 Å, c = 10.0854 Å
α = 111.42°, β = 111.42°, γ = 73.55°
Fractional positions:
Ga: 0.1493 0.1493 0.3372
Ga: 0.8507 0.8507 0.6628
Sn: 0.4333 0.4333 0.7686
Sn: 0.5667 0.5667 0.2314
Br: 0.3365 0.3365 0.9633
Br: 0.6635 0.6635 0.0367
Cl: 0.1504 0.7786 0.7913
Cl: 0.1656 0.1656 0.5653
Cl: 0.2214 0.8496 0.2087
Cl: 0.3328 0.3328 0.3593
Cl: 0.6672 0.6672 0.6407
Cl: 0.7786 0.1504 0.7913
Cl: 0.8344 0.8344 0.4347
Cl: 0.8496 0.2214 0.2087

***

No. 8
Starting from a crystal structure in Alexandria, relaxed with PBE, the powder X-ray diffraction pattern of PtAu was calculated for Cu Ka.
Neutral-atom scattering factors, no anomalous dispersion.

Principal peaks in the range 10 to 90 degrees two-theta, by intensity:
2θ = 41.23°, intensity 100; 2θ = 36.36°, intensity 35; 2θ = 36.98°, intensity 34; 2θ = 52.83°, intensity 25; 2θ = 68.74°, intensity 23; 2θ = 69.53°, intensity 22; 2θ = 89.54°, intensity 12; 2θ = 77.92°, intensity 8; 2θ = 78.30°, intensity 8; 2θ = 66.17°, intensity 6; 2θ = 88.85°, intensity 6; 2θ = 89.96°, intensity 6

Atomic structure:
a = 2.8112 Å, b = 2.8112 Å, c = 4.9417 Å
α = 90.00°, β = 90.00°, γ = 119.69°
Fractional positions:
Pt: 0.0000 0.0000 0.0000
Au: 0.5000 0.5000 0.5000

***

No. 9
Starting from a crystal structure in Alexandria, relaxed with PBE, the powder X-ray diffraction pattern of Rb2RhF7 was calculated for Cu Ka.
Neutral-atom scattering factors, no anomalous dispersion.

Principal peaks in the range 10 to 90 degrees two-theta, by intensity:
2θ = 23.81°, intensity 100; 2θ = 23.67°, intensity 79; 2θ = 29.06°, intensity 49; 2θ = 38.68°, intensity 38; 2θ = 38.04°, intensity 33; 2θ = 37.12°, intensity 32; 2θ = 30.64°, intensity 26; 2θ = 28.18°, intensity 24; 2θ = 16.33°, intensity 24; 2θ = 47.29°, intensity 23; 2θ = 48.58°, intensity 17; 2θ = 38.91°, intensity 16

Atomic structure:
a = 7.9766 Å, b = 7.9766 Å, c = 10.4469 Å
α = 129.57°, β = 129.57°, γ = 46.77°
Fractional positions:
Rb: 0.1126 0.2395 0.2716
Rb: 0.2395 0.1126 0.7716
Rb: 0.7605 0.8874 0.2284
Rb: 0.8874 0.7605 0.7284
Rh: 0.4599 0.5401 0.2500
Rh: 0.5401 0.4599 0.7500
F: 0.1504 0.8496 0.2500
F: 0.2165 0.6430 0.5966
F: 0.2882 0.5549 0.0148
F: 0.2905 0.3746 0.1751
F: 0.3570 0.7835 0.9034
F: 0.3746 0.2905 0.6751
F: 0.4451 0.7118 0.4852
F: 0.5549 0.2882 0.5148
F: 0.6254 0.7095 0.3249
F: 0.6430 0.2165 0.0966
F: 0.7095 0.6254 0.8249
F: 0.7118 0.4451 0.9852
F: 0.7835 0.3570 0.4034
F: 0.8496 0.1504 0.7500

***

No. 10
Starting from a crystal structure in Alexandria, relaxed with PBE, the powder X-ray diffraction pattern of CaPm6Pr8 was calculated for Cu Ka.
Neutral-atom scattering factors, no anomalous dispersion.

Principal peaks in the range 10 to 90 degrees two-theta, by intensity:
2θ = 28.98°, intensity 100; 2θ = 33.56°, intensity 66; 2θ = 28.86°, intensity 32; 2θ = 57.25°, intensity 26; 2θ = 48.11°, intensity 19; 2θ = 48.27°, intensity 17; 2θ = 34.10°, intensity 12; 2θ = 31.05°, intensity 10; 2θ = 60.07°, intensity 9; 2θ = 57.07°, intensity 7; 2θ = 38.93°, intensity 6; 2θ = 46.86°, intensity 6

Atomic structure:
a = 8.4535 Å, b = 8.4535 Å, c = 8.4535 Å
α = 72.33°, β = 72.33°, γ = 72.33°
Fractional positions:
Ca: 0.0000 0.0000 0.0000
Pm: 0.1711 0.6196 0.4303
Pm: 0.3804 0.5697 0.8289
Pm: 0.4303 0.1711 0.6196
Pm: 0.5697 0.8289 0.3804
Pm: 0.6196 0.4303 0.1711
Pm: 0.8289 0.3804 0.5697
Pr: 0.0535 0.3821 0.8597
Pr: 0.1403 0.9465 0.6179
Pr: 0.2339 0.2339 0.2339
Pr: 0.3821 0.8597 0.0535
Pr: 0.6179 0.1403 0.9465
Pr: 0.7661 0.7661 0.7661
Pr: 0.8597 0.0535 0.3821
Pr: 0.9465 0.6179 0.1403

***

No. 11
Starting from a crystal structure in Alexandria, relaxed with PBE, the powder X-ray diffraction pattern of DyTm5Cd3 was calculated for Cu Ka.
Neutral-atom scattering factors, no anomalous dispersion.

Principal peaks in the range 10 to 90 degrees two-theta, by intensity:
2θ = 32.75°, intensity 100; 2θ = 34.28°, intensity 95; 2θ = 60.42°, intensity 34; 2θ = 48.14°, intensity 34; 2θ = 65.05°, intensity 29; 2θ = 61.39°, intensity 17; 2θ = 81.59°, intensity 15; 2θ = 85.73°, intensity 14; 2θ = 72.23°, intensity 11; 2θ = 53.45°, intensity 9; 2θ = 43.52°, intensity 7; 2θ = 88.16°, intensity 6

Atomic structure:
a = 9.0616 Å, b = 9.0616 Å, c = 6.8576 Å
α = 90.00°, β = 90.00°, γ = 120.00°
Fractional positions:
Dy: 0.0000 0.0000 0.0000
Dy: 0.0000 0.0000 0.5000
Tm: 0.0000 0.3346 0.2500
Tm: 0.0000 0.6654 0.7500
Tm: 0.3333 0.6667 0.0000
Tm: 0.3333 0.6667 0.5000
Tm: 0.3346 0.0000 0.2500
Tm: 0.3346 0.3346 0.7500
Tm: 0.6654 0.0000 0.7500
Tm: 0.6654 0.6654 0.2500
Tm: 0.6667 0.3333 0.0000
Tm: 0.6667 0.3333 0.5000
Cd: 0.0000 0.3331 0.7500
Cd: 0.0000 0.6669 0.2500
Cd: 0.3331 0.0000 0.7500
Cd: 0.3331 0.3331 0.2500
Cd: 0.6669 0.0000 0.2500
Cd: 0.6669 0.6669 0.7500

***

No. 12
Starting from a crystal structure in Alexandria, relaxed with PBE, the powder X-ray diffraction pattern of TiNb2Se5 was calculated for Cu Ka.
Neutral-atom scattering factors, no anomalous dispersion.

Principal peaks in the range 10 to 90 degrees two-theta, by intensity:
2θ = 13.42°, intensity 100; 2θ = 34.28°, intensity 49; 2θ = 28.66°, intensity 30; 2θ = 38.61°, intensity 27; 2θ = 44.19°, intensity 25; 2θ = 13.00°, intensity 20; 2θ = 39.69°, intensity 20; 2θ = 41.05°, intensity 17; 2θ = 37.98°, intensity 16; 2θ = 43.63°, intensity 15; 2θ = 56.57°, intensity 14; 2θ = 83.47°, intensity 13

Atomic structure:
a = 9.4823 Å, b = 7.2002 Å, c = 6.9963 Å
α = 83.80°, β = 49.02°, γ = 47.18°
Fractional positions:
Ti: 0.0000 0.0000 0.0000
Nb: 0.3110 0.3110 0.6890
Nb: 0.6890 0.6890 0.3110
Se: 0.0355 0.2832 0.7168
Se: 0.2832 0.0355 0.9645
Se: 0.5000 0.5000 0.5000
Se: 0.7168 0.9645 0.0355
Se: 0.9645 0.7168 0.2832

***

No. 13
Starting from a crystal structure in Alexandria, relaxed with PBE, the powder X-ray diffraction pattern of DyY3Ir was calculated for Cu Ka.
Neutral-atom scattering factors, no anomalous dispersion.

Principal peaks in the range 10 to 90 degrees two-theta, by intensity:
2θ = 30.67°, intensity 100; 2θ = 39.91°, intensity 56; 2θ = 22.95°, intensity 55; 2θ = 18.43°, intensity 47; 2θ = 30.97°, intensity 46; 2θ = 48.08°, intensity 37; 2θ = 40.15°, intensity 28; 2θ = 47.48°, intensity 28; 2θ = 23.22°, intensity 23; 2θ = 52.28°, intensity 22; 2θ = 32.01°, intensity 22; 2θ = 33.15°, intensity 21

Atomic structure:
a = 7.6625 Å, b = 6.5298 Å, c = 6.1891 Å
α = 90.00°, β = 90.00°, γ = 90.00°
Fractional positions:
Dy: 0.0000 0.1539 0.0000
Dy: 0.5000 0.8461 0.5000
Y: 0.0000 0.8459 0.4947
Y: 0.2499 0.3126 0.4978
Y: 0.2501 0.6874 0.9978
Y: 0.5000 0.1541 0.9947
Y: 0.7501 0.3126 0.4978
Y: 0.7499 0.6874 0.9978
Ir: 0.0000 0.4988 0.7488
Ir: 0.5000 0.5012 0.2488